Diffraction record for LiMnP3HO10. The PXRD pattern is simulated, not measured: it uses a crystal structure in Alexandria, relaxed with GGA+U and Cu Kα.
Neutral-atom scattering factors, no anomalous dispersion.

Largest 10 diffraction maxima, low angle first, 10° ≤ 2θ ≤ 90°:
hkl	2θ/deg	intensity
1 0 0	14.6	100
0 1 0	14.7	46
0 1 1	17.4	12
1 0 1	18.2	11
0 1 2	28.8	8
0 2 1	29.0	8
0 0 2	29.4	10
2 0 0	29.6	11
0 2 0	29.7	22
2 0 1	29.8	9

Cell and atoms:
Unit cell a=6.240 b=6.324 c=6.564 alpha=72.07 beta=75.64 gamma=84.41
Space group P1 (No. 1)
Asymmetric unit:
Li: 0.000 0.000 0.000 [1 per cell]
Mn: 0.659 0.355 0.887 [1 per cell]
P: 0.199 0.447 0.761 [1 per cell]
P: 0.537 0.823 0.987 [1 per cell]
P: 0.556 0.441 0.385 [1 per cell]
H: 0.239 0.772 0.797 [1 per cell]
O: 0.170 0.704 0.704 [1 per cell]
O: 0.302 0.392 0.534 [1 per cell]
O: 0.302 0.878 0.957 [1 per cell]
O: 0.344 0.356 0.927 [1 per cell]
O: 0.527 0.698 0.246 [1 per cell]
O: 0.607 0.294 0.239 [1 per cell]
O: 0.665 0.671 0.853 [1 per cell]
O: 0.685 0.023 0.940 [1 per cell]
O: 0.702 0.433 0.537 [1 per cell]
O: 0.983 0.321 0.855 [1 per cell]